The following is a calculated powder diffractogram of Ca3DyPt8. It was derived from DFT lattice parameters and positions (PBE), using Cu Kα.
Neutral-atom scattering factors, no anomalous dispersion.

Principal peaks in the range 15° ≤ 2θ ≤ 90°, by angle:
19.9 deg, I = 60; 20.0 deg, I = 20; 38.7 deg, I = 100; 38.9 deg, I = 34; 40.5 deg, I = 75; 40.7 deg, I = 24; 47.2 deg, I = 32; 62.5 deg, I = 17; 62.6 deg, I = 17; 68.8 deg, I = 22; 69.1 deg, I = 21; 83.1 deg, I = 19

```
data_Ca3DyPt8
_chemical_formula_sum 'Ca9 Dy3 Pt24'
_cell_length_a 5.4606
_cell_length_b 5.4606
_cell_length_c 26.5884
_cell_angle_alpha 90.00
_cell_angle_beta 90.00
_cell_angle_gamma 120.00
_space_group_name_H-M_alt 'R 3 m'
_space_group_IT_number 160
_space_group_name_Hall 'R 3 -2"'
loop_
_atom_site_label
_atom_site_type_symbol
_atom_site_fract_x
_atom_site_fract_y
_atom_site_fract_z
Ca1 Ca 0.0000 0.0000 0.0000
Ca2 Ca 0.0000 0.0000 0.1238
Ca3 Ca 0.0000 0.0000 0.4959
Dy1 Dy 0.0000 0.0000 0.6218
Pt1 Pt 0.0000 0.0000 0.3105
Pt2 Pt 0.0000 0.0000 0.8105
Pt3 Pt 0.0022 0.5011 0.5616
Pt4 Pt 0.1677 0.3353 0.3927
```

The following is a calculated powder diffractogram of CaDySnPt. It was derived from DFT lattice parameters and positions (PBE), using Cu Kα.
Neutral-atom scattering factors, no anomalous dispersion.

Principal peaks in the range 15° ≤ 2θ ≤ 90°, by angle:
21.2 deg, I = 16; 24.5 deg, I = 5; 34.9 deg, I = 100; 41.2 deg, I = 9; 50.2 deg, I = 18; 55.0 deg, I = 4; 56.6 deg, I = 3; 62.5 deg, I = 37; 66.8 deg, I = 3; 73.7 deg, I = 12; 77.6 deg, I = 3; 84.2 deg, I = 17

```
data_CaDySnPt
_chemical_formula_sum 'Ca4 Dy4 Sn4 Pt4'
_cell_length_a 7.275
_cell_length_b 7.275
_cell_length_c 7.275
_cell_angle_alpha 90.00
_cell_angle_beta 90.00
_cell_angle_gamma 90.00
_space_group_name_H-M_alt 'F -4 3 m'
_space_group_IT_number 216
_space_group_name_Hall 'F -4 2 3'
loop_
_atom_site_label
_atom_site_type_symbol
_atom_site_fract_x
_atom_site_fract_y
_atom_site_fract_z
Ca1 Ca 0.000 0.000 0.000
Dy1 Dy 0.000 0.000 0.500
Sn1 Sn 0.250 0.250 0.750
Pt1 Pt 0.250 0.250 0.250
```

The following is a calculated powder diffractogram of CaDy4PuS8. It was derived from DFT lattice parameters and positions (PBE), using Cu Kα.
Neutral-atom scattering factors, no anomalous dispersion.

Principal peaks in the range 15° ≤ 2θ ≤ 90°, by angle:
21.9 deg, I = 17; 25.7 deg, I = 100; 25.8 deg, I = 18; 26.9 deg, I = 22; 31.1 deg, I = 43; 40.8 deg, I = 31; 40.9 deg, I = 20; 44.5 deg, I = 36; 44.7 deg, I = 36; 52.2 deg, I = 12; 52.9 deg, I = 12; 62.1 deg, I = 17

```
data_CaDy4PuS8
_chemical_formula_sum 'Ca3 Dy12 Pu3 S24'
_cell_length_a 8.1097
_cell_length_b 8.1097
_cell_length_c 19.9974
_cell_angle_alpha 90.00
_cell_angle_beta 90.00
_cell_angle_gamma 120.00
_space_group_name_H-M_alt 'R 3 m'
_space_group_IT_number 160
_space_group_name_Hall 'R 3 -2"'
loop_
_atom_site_label
_atom_site_type_symbol
_atom_site_fract_x
_atom_site_fract_y
_atom_site_fract_z
Ca1 Ca 0.0000 0.0000 0.0000
Dy1 Dy 0.0000 0.0000 0.2483
Dy2 Dy 0.1693 0.3386 0.4567
Pu1 Pu 0.0000 0.0000 0.6247
S1 S 0.0000 0.0000 0.3817
S2 S 0.0000 0.0000 0.8640
S3 S 0.0254 0.5127 0.3801
S4 S 0.1749 0.3498 0.2024
```

The following is a calculated powder diffractogram of Ca3Dy2PuTe6. It was derived from DFT lattice parameters and positions (PBE), using Cu Kα.
Neutral-atom scattering factors, no anomalous dispersion.

Principal peaks in the range 15° ≤ 2θ ≤ 90°, by angle:
23.6 deg, I = 13; 28.4 deg, I = 100; 40.4 deg, I = 39; 40.8 deg, I = 37; 42.7 deg, I = 7; 49.8 deg, I = 7; 50.5 deg, I = 20; 58.8 deg, I = 13; 66.3 deg, I = 18; 66.8 deg, I = 11; 73.2 deg, I = 7; 74.0 deg, I = 13

```
data_Ca3Dy2PuTe6
_chemical_formula_sum 'Ca6 Dy4 Pu2 Te12'
_cell_length_a 7.658
_cell_length_b 13.271
_cell_length_c 7.759
_cell_angle_alpha 90.00
_cell_angle_beta 109.22
_cell_angle_gamma 90.00
_space_group_name_H-M_alt 'C 1 2/m 1'
_space_group_IT_number 12
_space_group_name_Hall '-C 2y'
loop_
_atom_site_label
_atom_site_type_symbol
_atom_site_fract_x
_atom_site_fract_y
_atom_site_fract_z
Ca1 Ca 0.000 0.000 0.000
Ca2 Ca 0.000 0.335 0.000
Dy1 Dy 0.000 0.167 0.500
Pu1 Pu 0.000 0.500 0.500
Te1 Te 0.243 0.000 0.745
Te2 Te 0.248 0.169 0.253
```

The following is a calculated powder diffractogram of CaDy2Ru. It was derived from DFT lattice parameters and positions (PBE), using Cu Kα.
Neutral-atom scattering factors, no anomalous dispersion.

Principal peaks in the range 15° ≤ 2θ ≤ 90°, by angle:
25.9 deg, I = 24; 28.1 deg, I = 22; 32.1 deg, I = 100; 36.9 deg, I = 70; 38.2 deg, I = 27; 38.6 deg, I = 83; 46.4 deg, I = 24; 47.1 deg, I = 22; 53.2 deg, I = 24; 63.5 deg, I = 27; 67.6 deg, I = 32; 70.9 deg, I = 20

```
data_CaDy2Ru
_chemical_formula_sum 'Ca1 Dy2 Ru1'
_cell_length_a 3.443
_cell_length_b 3.443
_cell_length_c 9.516
_cell_angle_alpha 90.00
_cell_angle_beta 90.00
_cell_angle_gamma 90.00
_space_group_name_H-M_alt 'P 4/m m m'
_space_group_IT_number 123
_space_group_name_Hall '-P 4 2'
loop_
_atom_site_label
_atom_site_type_symbol
_atom_site_fract_x
_atom_site_fract_y
_atom_site_fract_z
Ca1 Ca 0.000 0.000 0.000
Dy1 Dy 0.500 0.500 0.328
Ru1 Ru 0.000 0.000 0.500
```

The following is a calculated powder diffractogram of Ca5Dy3S8. It was derived from DFT lattice parameters and positions (PBE), using Cu Kα.
Neutral-atom scattering factors, no anomalous dispersion.

Principal peaks in the range 15° ≤ 2θ ≤ 90°, by angle:
26.3 deg, I = 21; 27.5 deg, I = 28; 31.8 deg, I = 100; 34.7 deg, I = 11; 45.5 deg, I = 35; 45.7 deg, I = 35; 54.2 deg, I = 14; 56.8 deg, I = 18; 66.5 deg, I = 11; 75.5 deg, I = 15; 75.8 deg, I = 15; 84.5 deg, I = 11

```
data_Ca5Dy3S8
_chemical_formula_sum 'Ca15 Dy9 S24'
_cell_length_a 7.9332
_cell_length_b 7.9332
_cell_length_c 19.5538
_cell_angle_alpha 90.00
_cell_angle_beta 90.00
_cell_angle_gamma 120.00
_space_group_name_H-M_alt 'R -3 m'
_space_group_IT_number 166
_space_group_name_Hall '-R 3 2"'
loop_
_atom_site_label
_atom_site_type_symbol
_atom_site_fract_x
_atom_site_fract_y
_atom_site_fract_z
Ca1 Ca 0.0000 0.0000 0.0000
Ca2 Ca 0.0000 0.0000 0.5000
Ca3 Ca 0.0000 0.5000 0.0000
Dy1 Dy 0.0000 0.5000 0.5000
S1 S 0.0000 0.0000 0.2481
S2 S 0.0034 0.5017 0.7517
```

The following is a calculated powder diffractogram of CaDySc4S8. It was derived from DFT lattice parameters and positions (PBE), using Cu Kα.
Neutral-atom scattering factors, no anomalous dispersion.

Principal peaks in the range 15° ≤ 2θ ≤ 90°, by angle:
16.1 deg, I = 29; 23.0 deg, I = 45; 26.6 deg, I = 48; 26.9 deg, I = 100; 32.5 deg, I = 94; 42.7 deg, I = 36; 42.9 deg, I = 29; 46.3 deg, I = 58; 47.1 deg, I = 58; 65.6 deg, I = 15; 68.2 deg, I = 16; 87.0 deg, I = 17

```
data_CaDySc4S8
_chemical_formula_sum 'Ca3 Dy3 Sc12 S24'
_cell_length_a 7.7252
_cell_length_b 7.7252
_cell_length_c 19.3456
_cell_angle_alpha 90.00
_cell_angle_beta 90.00
_cell_angle_gamma 120.00
_space_group_name_H-M_alt 'R 3 m'
_space_group_IT_number 160
_space_group_name_Hall 'R 3 -2"'
loop_
_atom_site_label
_atom_site_type_symbol
_atom_site_fract_x
_atom_site_fract_y
_atom_site_fract_z
Ca1 Ca 0.0000 0.0000 0.0000
Dy1 Dy 0.0000 0.0000 0.6297
Sc1 Sc 0.0000 0.0000 0.2545
Sc2 Sc 0.1690 0.3380 0.4608
S1 S 0.0000 0.0000 0.3858
S2 S 0.0000 0.0000 0.8633
S3 S 0.0281 0.5140 0.3870
S4 S 0.1727 0.3455 0.2062
```

The following is a calculated powder diffractogram of CaTb2DySb4. It was derived from DFT lattice parameters and positions (PBE), using Cu Kα.
Neutral-atom scattering factors, no anomalous dispersion.

Principal peaks in the range 15° ≤ 2θ ≤ 90°, by angle:
15.8 deg, I = 8; 28.5 deg, I = 100; 32.8 deg, I = 3; 40.8 deg, I = 76; 50.5 deg, I = 27; 59.0 deg, I = 4; 59.1 deg, I = 8; 66.8 deg, I = 29; 66.9 deg, I = 6; 74.2 deg, I = 17; 74.3 deg, I = 8; 88.3 deg, I = 7

```
data_CaTb2DySb4
_chemical_formula_sum 'Ca4 Tb8 Dy4 Sb16'
_cell_length_a 8.840
_cell_length_b 8.852
_cell_length_c 12.531
_cell_angle_alpha 90.00
_cell_angle_beta 90.00
_cell_angle_gamma 90.00
_space_group_name_H-M_alt 'F m m m'
_space_group_IT_number 69
_space_group_name_Hall '-F 2 2'
loop_
_atom_site_label
_atom_site_type_symbol
_atom_site_fract_x
_atom_site_fract_y
_atom_site_fract_z
Ca1 Ca 0.000 0.000 0.000
Tb1 Tb 0.250 0.250 0.250
Dy1 Dy 0.000 0.000 0.500
Sb1 Sb 0.000 0.000 0.255
Sb2 Sb 0.250 0.250 0.000
```